No. 1
Calculated powder X-ray diffraction pattern of Mg16Al12Bi for Cu Kα (λ = 1.5418 Å), from the GGA-PBE geometry in Alexandria.
Intensities are scaled so that the largest is 100.

Principal peaks in the range 10° ≤ 2θ ≤ 80°, sorted by position:
11.68°, I = 70.9; 11.94°, I = 88.6; 16.73°, I = 39.6; 20.61°, I = 44.9; 23.49°, I = 23.9; 26.42°, I = 32.1; 26.78°, I = 30.5; 31.95°, I = 25.6; 35.55°, I = 100.0; 36.00°, I = 78.1; 36.32°, I = 85.1; 40.28°, I = 48.7

Cell and atoms:
abc: 9.1124 9.1124 9.1124
angles: 108.86 108.86 108.86
Sites, in units of the cell vectors:
Mg 0.0000 0.0000 0.0000
Mg 0.0000 0.4038 0.6793
Mg 0.0000 0.6793 0.4038
Mg 0.0011 0.0011 0.6502
Mg 0.0011 0.6502 0.0011
Mg 0.2971 0.6114 0.6114
Mg 0.3158 0.3158 0.7092
Mg 0.3158 0.7092 0.3158
Mg 0.4038 0.0000 0.6793
Mg 0.4038 0.6793 0.0000
Mg 0.6114 0.2971 0.6114
Mg 0.6114 0.6114 0.2971
Mg 0.6502 0.0011 0.0011
Mg 0.6793 0.0000 0.4038
Mg 0.6793 0.4038 0.0000
Mg 0.7092 0.3158 0.3158
Al 0.1788 0.3655 0.9886
Al 0.1788 0.9886 0.3655
Al 0.1849 0.8184 0.8184
Al 0.3655 0.1788 0.9886
Al 0.3655 0.9886 0.1788
Al 0.6410 0.6410 0.8298
Al 0.6410 0.8298 0.6410
Al 0.8184 0.1849 0.8184
Al 0.8184 0.8184 0.1849
Al 0.8298 0.6410 0.6410
Al 0.9886 0.1788 0.3655
Al 0.9886 0.3655 0.1788
Bi 0.3444 0.3444 0.3444



No. 2
Calculated powder X-ray diffraction pattern of Hf2Zn6Pt for Cu Kα (λ = 1.5418 Å), from the GGA-PBE geometry in Alexandria.
Intensities are scaled so that the largest is 100.

Principal peaks in the range 10° ≤ 2θ ≤ 80°, sorted by position:
14.98°, I = 32.4; 33.51°, I = 37.7; 36.03°, I = 75.0; 36.89°, I = 100.0; 41.89°, I = 73.3; 45.74°, I = 20.4; 50.29°, I = 26.3; 61.56°, I = 24.4; 62.14°, I = 22.9; 70.42°, I = 23.9; 72.16°, I = 23.7; 76.42°, I = 16.0

Cell and atoms:
abc: 5.3483 5.3483 5.9155
angles: 90.00 90.00 120.00
Sites, in units of the cell vectors:
Hf 0.3333 0.6667 0.3885
Hf 0.6667 0.3333 0.6115
Zn 0.1759 0.3518 0.8314
Zn 0.1759 0.8241 0.8314
Zn 0.3518 0.1759 0.1686
Zn 0.6482 0.8241 0.8314
Zn 0.8241 0.1759 0.1686
Zn 0.8241 0.6482 0.1686
Pt 0.0000 0.0000 0.5000



No. 3
Calculated powder X-ray diffraction pattern of Tb4PtI5 for Cu Kα (λ = 1.5418 Å), from the GGA-PBE geometry in Alexandria.
Intensities are scaled so that the largest is 100.

Principal peaks in the range 10° ≤ 2θ ≤ 80°, sorted by position:
10.10°, I = 50.6; 12.14°, I = 10.0; 28.00°, I = 50.1; 29.22°, I = 100.0; 37.02°, I = 9.3; 40.22°, I = 17.1; 40.73°, I = 34.9; 41.10°, I = 31.9; 43.34°, I = 18.8; 52.39°, I = 17.9; 60.60°, I = 10.2; 66.42°, I = 9.9

Cell and atoms:
abc: 10.0118 10.0118 8.9704
angles: 102.23 102.23 24.07
Sites, in units of the cell vectors:
Tb 0.0008 0.0008 0.2053
Tb 0.3556 0.3556 0.9254
Tb 0.6444 0.6444 0.0746
Tb 0.9992 0.9992 0.7947
Pt 0.5000 0.5000 0.0000
I 0.1684 0.1684 0.3417
I 0.1772 0.1772 0.8316
I 0.5000 0.5000 0.5000
I 0.8228 0.8228 0.1684
I 0.8316 0.8316 0.6583



No. 4
Calculated powder X-ray diffraction pattern of La2Te3 for Cu Kα (λ = 1.5418 Å), from the GGA-PBE geometry in Alexandria.
Intensities are scaled so that the largest is 100.

Principal peaks in the range 10° ≤ 2θ ≤ 80°, sorted by position:
29.18°, I = 100.0; 34.68°, I = 73.6; 41.74°, I = 13.5; 43.88°, I = 9.8; 45.94°, I = 17.4; 47.91°, I = 12.0; 58.74°, I = 8.9; 58.86°, I = 18.5; 60.56°, I = 7.8; 62.14°, I = 10.7; 71.59°, I = 6.8; 71.72°, I = 7.8

Cell and atoms:
abc: 16.0689 16.0689 16.0689
angles: 144.98 144.98 50.36
Sites, in units of the cell vectors:
La 0.0461 0.1590 0.6247
La 0.1673 0.1673 0.0000
La 0.1715 0.7844 0.8753
La 0.2156 0.0910 0.3871
La 0.2554 0.6250 0.1304
La 0.3750 0.5054 0.6304
La 0.4946 0.1250 0.8696
La 0.5344 0.4215 0.3753
La 0.5785 0.9539 0.1129
La 0.5827 0.0827 0.5000
La 0.7039 0.8285 0.6129
La 0.8327 0.8327 0.0000
La 0.8410 0.4656 0.8871
La 0.8750 0.7446 0.3696
La 0.9090 0.2961 0.1247
La 0.9173 0.4173 0.5000
Te 0.0074 0.7599 0.9024
Te 0.0722 0.4699 0.2471
Te 0.1749 0.9278 0.3977
Te 0.1854 0.4393 0.0936
Te 0.1893 0.4354 0.5936
Te 0.2199 0.3222 0.7471
Te 0.2228 0.8251 0.7529
Te 0.2401 0.1425 0.2475
Te 0.3457 0.0918 0.9064
Te 0.4043 0.8107 0.2462
Te 0.5099 0.2574 0.4024
Te 0.5272 0.7801 0.1023
Te 0.5301 0.7772 0.6023
Te 0.5607 0.6543 0.7462
Te 0.5646 0.1582 0.7538
Te 0.5751 0.4728 0.2529
Te 0.6778 0.4249 0.8977
Te 0.7426 0.1450 0.2525
Te 0.8418 0.5957 0.4064
Te 0.8550 0.1075 0.5976
Te 0.8575 0.1050 0.0976
Te 0.8925 0.4901 0.7475
Te 0.8950 0.9926 0.7525
Te 0.9082 0.8146 0.2538